(1)
For Nd2Ga5Ir, the PBE geometry in Alexandria gives the computed powder diffractogram in this record (Cu Kα).
Peak positions follow from Bragg's law for the DFT cell and can differ from measured ones.

Top 12 peaks for 5° ≤ 2θ ≤ 70°, in order of falling intensity:
| 2theta | I_rel |
| --- | --- |
| 28.4 | 100.0 |
| 41.5 | 63.6 |
| 35.2 | 61.1 |
| 34.0 | 43.4 |
| 58.7 | 42.7 |
| 39.6 | 39.1 |
| 17.4 | 35.3 |
| 51.0 | 30.5 |
| 44.4 | 26.8 |
| 29.0 | 21.6 |
| 45.3 | 21.2 |
| 60.1 | 18.3 |

Structure:
abc: 6.1611 6.1611 9.1032
angles: 90.00 90.00 90.00
Sites, in units of the cell vectors:
Nd: 0.0000 0.5000 0.0000
Nd: 0.0000 0.5000 0.5000
Nd: 0.5000 0.0000 0.0000
Nd: 0.5000 0.0000 0.5000
Ga: 0.0000 0.0000 0.0303
Ga: 0.2146 0.2146 0.2485
Ga: 0.2146 0.7854 0.2485
Ga: 0.2854 0.2854 0.7485
Ga: 0.2854 0.7146 0.7485
Ga: 0.5000 0.5000 0.5303
Ga: 0.7146 0.2854 0.7485
Ga: 0.7146 0.7146 0.7485
Ga: 0.7854 0.2146 0.2485
Ga: 0.7854 0.7854 0.2485
Ir: 0.0000 0.0000 0.7624
Ir: 0.5000 0.5000 0.2624

***

(2)
For NdGa3Ir3, the PBE geometry in Alexandria gives the computed powder diffractogram in this record (Cu Kα).
Peak positions follow from Bragg's law for the DFT cell and can differ from measured ones.

Top 12 peaks for 5° ≤ 2θ ≤ 70°, in order of falling intensity:
| 2theta | I_rel |
| --- | --- |
| 32.4 | 100.0 |
| 50.5 | 57.9 |
| 26.3 | 42.6 |
| 29.5 | 40.4 |
| 46.5 | 30.7 |
| 54.2 | 30.6 |
| 18.5 | 16.2 |
| 61.3 | 16.1 |
| 64.6 | 13.7 |
| 48.5 | 10.8 |
| 63.0 | 10.2 |
| 42.2 | 4.1 |

Structure:
abc: 6.7647 6.7647 6.7647
angles: 90.00 90.00 90.00
Sites, in units of the cell vectors:
Nd: 0.0000 0.0000 0.0000
Nd: 0.5000 0.5000 0.5000
Ga: 0.0000 0.2500 0.5000
Ga: 0.0000 0.7500 0.5000
Ga: 0.2500 0.5000 0.0000
Ga: 0.5000 0.0000 0.2500
Ga: 0.5000 0.0000 0.7500
Ga: 0.7500 0.5000 0.0000
Ir: 0.0000 0.5000 0.2500
Ir: 0.0000 0.5000 0.7500
Ir: 0.2500 0.0000 0.5000
Ir: 0.5000 0.2500 0.0000
Ir: 0.5000 0.7500 0.0000
Ir: 0.7500 0.0000 0.5000

***

(3)
For NdGa12Ir4, the PBE geometry in Alexandria gives the computed powder diffractogram in this record (Cu Kα).
Peak positions follow from Bragg's law for the DFT cell and can differ from measured ones.

Top 12 peaks for 5° ≤ 2θ ≤ 70°, in order of falling intensity:
| 2theta | I_rel |
| --- | --- |
| 50.5 | 100.0 |
| 28.5 | 92.5 |
| 32.0 | 83.5 |
| 20.1 | 75.3 |
| 45.9 | 75.2 |
| 38.1 | 46.7 |
| 66.9 | 30.1 |
| 40.8 | 26.4 |
| 52.8 | 22.7 |
| 35.1 | 14.0 |
| 59.1 | 11.1 |
| 61.1 | 10.8 |

Structure:
abc: 7.6627 7.6627 7.6627
angles: 109.47 109.47 109.47
Sites, in units of the cell vectors:
Nd: 0.0000 0.0000 0.0000
Ga: 0.1614 0.3375 0.4990
Ga: 0.1614 0.6625 0.8239
Ga: 0.1761 0.8386 0.3375
Ga: 0.3375 0.1761 0.8386
Ga: 0.3375 0.4990 0.1614
Ga: 0.4990 0.1614 0.3375
Ga: 0.5010 0.8386 0.6625
Ga: 0.6625 0.5010 0.8386
Ga: 0.6625 0.8239 0.1614
Ga: 0.8239 0.1614 0.6625
Ga: 0.8386 0.3375 0.1761
Ga: 0.8386 0.6625 0.5010
Ir: 0.0000 0.0000 0.5000
Ir: 0.0000 0.5000 0.0000
Ir: 0.5000 0.0000 0.0000
Ir: 0.5000 0.5000 0.5000

***

(4)
For Nd3GaIr3, the PBE geometry in Alexandria gives the computed powder diffractogram in this record (Cu Kα).
Peak positions follow from Bragg's law for the DFT cell and can differ from measured ones.

Top 12 peaks for 5° ≤ 2θ ≤ 70°, in order of falling intensity:
| 2theta | I_rel |
| --- | --- |
| 38.4 | 100.0 |
| 34.3 | 37.3 |
| 42.9 | 33.8 |
| 39.1 | 26.6 |
| 33.1 | 22.7 |
| 29.7 | 16.9 |
| 26.0 | 15.8 |
| 59.4 | 15.8 |
| 65.5 | 14.4 |
| 58.9 | 13.2 |
| 22.7 | 12.0 |
| 39.5 | 11.2 |

Structure:
abc: 5.7009 5.7009 14.0421
angles: 90.00 90.00 136.57
Sites, in units of the cell vectors:
Nd: 0.0096 0.9904 0.7500
Nd: 0.2906 0.7094 0.6062
Nd: 0.2906 0.7094 0.8938
Nd: 0.7094 0.2906 0.1062
Nd: 0.7094 0.2906 0.3938
Nd: 0.9904 0.0096 0.2500
Ga: 0.0000 0.0000 0.0000
Ga: 0.0000 0.0000 0.5000
Ir: 0.2752 0.7248 0.2500
Ir: 0.4205 0.5795 0.0880
Ir: 0.4205 0.5795 0.4120
Ir: 0.5795 0.4205 0.5880
Ir: 0.5795 0.4205 0.9120
Ir: 0.7248 0.2752 0.7500

***

(5)
For Nd6Ga2Ir, the PBE geometry in Alexandria gives the computed powder diffractogram in this record (Cu Kα).
Peak positions follow from Bragg's law for the DFT cell and can differ from measured ones.

Top 12 peaks for 5° ≤ 2θ ≤ 70°, in order of falling intensity:
| 2theta | I_rel |
| --- | --- |
| 34.3 | 100.0 |
| 31.3 | 63.3 |
| 29.5 | 60.3 |
| 27.1 | 52.9 |
| 33.1 | 52.6 |
| 33.0 | 34.8 |
| 13.5 | 34.7 |
| 33.7 | 26.2 |
| 50.3 | 26.1 |
| 51.3 | 25.8 |
| 35.6 | 23.0 |
| 30.4 | 21.9 |

Structure:
abc: 6.0635 8.6832 11.4233
angles: 90.00 118.12 90.00
Sites, in units of the cell vectors:
Nd: 0.0508 0.1811 0.4434
Nd: 0.0508 0.3189 0.9434
Nd: 0.3429 0.6686 0.4393
Nd: 0.3429 0.8314 0.9393
Nd: 0.3650 0.0277 0.2642
Nd: 0.3650 0.4723 0.7642
Nd: 0.6350 0.5277 0.2358
Nd: 0.6350 0.9723 0.7358
Nd: 0.6571 0.1686 0.0607
Nd: 0.6571 0.3314 0.5607
Nd: 0.9492 0.6811 0.0566
Nd: 0.9492 0.8189 0.5566
Ga: 0.1724 0.1267 0.7511
Ga: 0.1724 0.3733 0.2511
Ga: 0.8276 0.6267 0.7489
Ga: 0.8276 0.8733 0.2489
Ir: 0.0000 0.0000 0.0000
Ir: 0.0000 0.5000 0.5000

***

(6)
For Nd2Ga3Ni12Ir, the PBE geometry in Alexandria gives the computed powder diffractogram in this record (Cu Kα).
Peak positions follow from Bragg's law for the DFT cell and can differ from measured ones.

Top 12 peaks for 5° ≤ 2θ ≤ 70°, in order of falling intensity:
| 2theta | I_rel |
| --- | --- |
| 31.3 | 100.0 |
| 36.2 | 46.4 |
| 44.3 | 38.2 |
| 41.7 | 34.5 |
| 61.3 | 32.1 |
| 34.9 | 28.7 |
| 53.5 | 26.3 |
| 49.2 | 25.4 |
| 43.2 | 24.6 |
| 56.8 | 23.9 |
| 38.5 | 16.9 |
| 37.0 | 15.8 |

Structure:
abc: 9.3918 9.3918 9.3918
angles: 37.56 37.56 37.56
Sites, in units of the cell vectors:
Nd: 0.1505 0.1505 0.1505
Nd: 0.8495 0.8495 0.8495
Ga: 0.0000 0.5000 0.5000
Ga: 0.5000 0.0000 0.5000
Ga: 0.5000 0.5000 0.0000
Ni: 0.0830 0.0830 0.6903
Ni: 0.0830 0.6903 0.0830
Ni: 0.1429 0.5700 0.5700
Ni: 0.3097 0.9170 0.9170
Ni: 0.4300 0.4300 0.8571
Ni: 0.4300 0.8571 0.4300
Ni: 0.5700 0.1429 0.5700
Ni: 0.5700 0.5700 0.1429
Ni: 0.6903 0.0830 0.0830
Ni: 0.8571 0.4300 0.4300
Ni: 0.9170 0.3097 0.9170
Ni: 0.9170 0.9170 0.3097
Ir: 0.5000 0.5000 0.5000

***

(7)
For Nd2Ga4Ir3Pd, the PBE geometry in Alexandria gives the computed powder diffractogram in this record (Cu Kα).
Peak positions follow from Bragg's law for the DFT cell and can differ from measured ones.

Top 12 peaks for 5° ≤ 2θ ≤ 70°, in order of falling intensity:
| 2theta | I_rel |
| --- | --- |
| 34.3 | 100.0 |
| 42.2 | 74.2 |
| 33.3 | 68.6 |
| 54.8 | 33.4 |
| 46.1 | 33.1 |
| 48.8 | 33.0 |
| 66.4 | 26.1 |
| 61.2 | 24.6 |
| 30.8 | 19.6 |
| 27.0 | 18.7 |
| 29.5 | 16.8 |
| 61.8 | 11.1 |

Structure:
abc: 4.2812 4.2812 10.3775
angles: 90.00 90.00 90.00
Sites, in units of the cell vectors:
Nd: 0.0000 0.5000 0.2483
Nd: 0.5000 0.0000 0.7517
Ga: 0.0000 0.0000 0.5000
Ga: 0.0000 0.5000 0.8717
Ga: 0.5000 0.0000 0.1283
Ga: 0.5000 0.5000 0.5000
Ir: 0.0000 0.0000 0.0000
Ir: 0.0000 0.5000 0.6326
Ir: 0.5000 0.0000 0.3674
Pd: 0.5000 0.5000 0.0000

***

(8)
For PmNdGaIr, the PBE geometry in Alexandria gives the computed powder diffractogram in this record (Cu Kα).
Peak positions follow from Bragg's law for the DFT cell and can differ from measured ones.

Top 12 peaks for 5° ≤ 2θ ≤ 70°, in order of falling intensity:
| 2theta | I_rel |
| --- | --- |
| 30.8 | 100.0 |
| 38.9 | 65.1 |
| 32.5 | 38.3 |
| 39.3 | 28.3 |
| 42.3 | 25.8 |
| 42.7 | 25.1 |
| 32.9 | 20.1 |
| 55.0 | 20.0 |
| 16.3 | 19.3 |
| 54.3 | 18.0 |
| 61.7 | 16.9 |
| 59.4 | 16.9 |

Structure:
abc: 4.2742 4.2344 10.8747
angles: 90.00 90.00 90.00
Sites, in units of the cell vectors:
Pm: 0.0000 0.0000 0.0000
Pm: 0.0000 0.5000 0.5000
Nd: 0.5000 0.0000 0.2817
Nd: 0.5000 0.5000 0.7817
Ga: 0.0000 0.0000 0.7043
Ga: 0.0000 0.5000 0.2043
Ir: 0.5000 0.0000 0.5652
Ir: 0.5000 0.5000 0.0652